For Mg6ZrCo, DFT lattice parameters and positions (PBE) gives the theoretical X-ray diffraction stick pattern in this record (Cu Kα (weighted mean of Kα1 and Kα2)).

The 8 most intense peaks (2θ from 10° to 90°), by angle:
hkl 0 0 2, d = 5.684 Å, rel. 50
hkl 1 0 0, d = 4.895 Å, rel. 31
hkl 1 0 2, d = 3.709 Å, rel. 26
hkl 0 2 2, d = 2.576 Å, rel. 44
hkl 1 0 4, d = 2.458 Å, rel. 80
hkl 2 0 0, d = 2.448 Å, rel. 46
hkl 1 2 2, d = 2.280 Å, rel. 100
hkl 2 2 2, d = 1.774 Å, rel. 28

Structural model:
```
data_Mg6ZrCo
_cell_length_a 4.8953
_cell_length_b 5.7794
_cell_length_c 11.3676
_cell_angle_alpha 90.00
_cell_angle_beta 90.00
_cell_angle_gamma 90.00
_space_group_name_H-M_alt 'A m m 2'
_space_group_IT_number 38
loop_
_space_group_symop_operation_xyz
'x,y,z'
'-x,-y,z'
'-x,y,z'
'x,-y,z'
'x,y+1/2,z+1/2'
'-x,-y+1/2,z+1/2'
'-x,y+1/2,z+1/2'
'x,-y+1/2,z+1/2'
loop_
_atom_site_label
_atom_site_fract_x
_atom_site_fract_y
_atom_site_fract_z
_atom_site_occupancy
Mg1 0.0000 0.0000 0.0000 1
Mg2 0.0000 0.0000 0.4705 1
Mg3 0.0000 0.2465 0.2493 1
Mg4 0.5000 0.2481 0.0977 1
Zr1 0.5000 0.0000 0.8499 1
Co1 0.5000 0.0000 0.3302 1
```